# 1
Simulated powder X-ray diffraction pattern
Compound: AcTh2Pt4
Radiation: Cu Kα X-rays
Structure: a GGA-PBE-relaxed structure
Intensities are scaled so that the largest is 100.

Principal peaks in the range 2θ = 10–90°, low angle first:
2θ/deg, d/Å, I (rel.)
24.71, 3.603, 15
31.60, 2.831, 63
32.13, 2.786, 100
37.78, 2.381, 30
38.06, 2.364, 50
38.22, 2.355, 57
48.13, 1.891, 14
50.14, 1.819, 16
65.35, 1.428, 14
68.30, 1.373, 14

Structural model:
```
AcTh2Pt4
1.0
-4.399 4.399 4.486
4.399 -4.399 4.486
4.399 4.399 -4.486
Ac Th Pt
2 4 8
Cartesian
0.000 0.000 0.000
0.000 4.399 2.243
2.200 -1.204 3.364
3.195 2.200 1.121
2.200 5.604 -1.121
1.204 2.200 5.607
5.764 0.769 0.545
3.630 3.034 -1.698
0.769 3.034 -0.545
0.769 1.365 2.788
3.630 1.365 3.940
1.365 -0.769 6.183
3.034 5.168 1.698
-1.365 3.630 5.031
```



# 2
Simulated powder X-ray diffraction pattern
Compound: Na2AgPbF8
Radiation: Cu Kα X-rays
Structure: a GGA-PBE-relaxed structure
Intensities are scaled so that the largest is 100.

Principal peaks in the range 2θ = 10–90°, low angle first:
2θ/deg, d/Å, I (rel.)
12.11, 7.308, 22
16.54, 5.360, 87
18.89, 4.699, 59
24.39, 3.650, 100
25.99, 3.429, 55
29.18, 3.060, 35
29.99, 2.980, 30
34.30, 2.615, 29
35.20, 2.550, 25
49.91, 1.827, 26

Structural model:
```
Na2AgPbF8
1.0
4.708 0.000 0.000
0.336 5.362 0.000
0.067 0.209 7.308
Na Ag Pb F
2 1 1 8
Cartesian
0.075 0.064 1.769
5.036 5.507 5.540
2.522 2.681 0.000
2.555 2.786 3.654
0.985 4.161 3.699
1.064 4.114 0.012
1.751 1.706 1.979
1.772 1.598 5.204
3.338 3.973 2.105
3.360 3.865 5.330
4.047 1.457 7.296
4.126 1.411 3.609
```



# 3
Simulated powder X-ray diffraction pattern
Compound: Mg3P2Pd4Pt3
Radiation: Cu Kα X-rays
Structure: a GGA-PBE-relaxed structure
Intensities are scaled so that the largest is 100.

Principal peaks in the range 2θ = 10–90°, low angle first:
2θ/deg, d/Å, I (rel.)
13.17, 6.724, 36
22.34, 3.980, 52
26.51, 3.362, 46
33.79, 2.653, 63
36.41, 2.468, 100
40.06, 2.251, 60
45.59, 1.990, 33
46.86, 1.939, 31
49.68, 1.835, 42
75.37, 1.261, 24

Structural model:
```
Mg3P2Pd4Pt3
1.0
3.877 0.000 0.000
0.000 3.980 0.000
1.928 0.009 13.447
Mg P Pd Pt
3 2 4 3
Cartesian
0.000 0.000 0.000
1.925 3.981 7.853
3.865 0.008 5.480
1.922 1.997 2.230
3.869 1.991 11.101
1.925 1.998 5.665
1.923 0.008 3.496
3.866 3.981 9.836
3.865 1.992 7.665
1.929 1.991 9.810
3.863 1.999 13.390
3.861 1.998 3.521
```



# 4
Simulated powder X-ray diffraction pattern
Compound: Na2Tl2Hg17
Radiation: Cu Kα X-rays
Structure: a GGA-PBE-relaxed structure
Intensities are scaled so that the largest is 100.

Principal peaks in the range 2θ = 10–90°, low angle first:
2θ/deg, d/Å, I (rel.)
30.51, 2.930, 30
30.81, 2.902, 34
31.13, 2.873, 100
31.45, 2.845, 33
33.07, 2.709, 35
33.89, 2.645, 28
34.58, 2.594, 42
36.90, 2.436, 36
38.51, 2.338, 45
65.03, 1.434, 26

Structural model:
```
Na2Tl2Hg17
1.0
5.868 -4.701 0.000
5.868 4.701 0.000
-2.379 0.000 11.069
Na Tl Hg
2 2 17
Cartesian
2.934 2.351 0.000
2.934 -2.351 0.000
0.515 0.000 8.255
8.842 0.000 2.814
0.000 0.000 0.000
1.744 2.351 5.534
0.528 0.000 3.129
4.678 3.172 5.534
3.367 1.517 2.988
3.229 1.714 9.489
6.127 1.714 1.580
3.465 0.000 6.597
5.989 1.517 8.081
1.744 -2.351 5.534
3.367 -1.517 2.988
5.891 0.000 4.472
3.229 -1.714 9.489
6.127 -1.714 1.580
5.989 -1.517 8.081
4.678 -3.172 5.534
8.829 0.000 7.940
```



Repeat the first record exactly.
Simulated powder X-ray diffraction pattern
Compound: AcTh2Pt4
Radiation: Cu Kα X-rays
Structure: a GGA-PBE-relaxed structure
Intensities are scaled so that the largest is 100.

Principal peaks in the range 2θ = 10–90°, low angle first:
2θ/deg, d/Å, I (rel.)
24.71, 3.603, 15
31.60, 2.831, 63
32.13, 2.786, 100
37.78, 2.381, 30
38.06, 2.364, 50
38.22, 2.355, 57
48.13, 1.891, 14
50.14, 1.819, 16
65.35, 1.428, 14
68.30, 1.373, 14

Structural model:
```
AcTh2Pt4
1.0
-4.399 4.399 4.486
4.399 -4.399 4.486
4.399 4.399 -4.486
Ac Th Pt
2 4 8
Cartesian
0.000 0.000 0.000
0.000 4.399 2.243
2.200 -1.204 3.364
3.195 2.200 1.121
2.200 5.604 -1.121
1.204 2.200 5.607
5.764 0.769 0.545
3.630 3.034 -1.698
0.769 3.034 -0.545
0.769 1.365 2.788
3.630 1.365 3.940
1.365 -0.769 6.183
3.034 5.168 1.698
-1.365 3.630 5.031
```



What is the formula in the third record? Mg3P2Pd4Pt3